1.
Starting from a PBE-relaxed structure, the powder X-ray diffraction pattern of SiC2 was calculated for Cu Kα (weighted mean of Kα1 and Kα2).

Most intense lines, 2θ = 10–90°, in order of falling intensity:
| 2theta | intensity | hkl |
| --- | --- | --- |
| 28.03 | 1000 | 1 0 0 |
| 38.52 | 794 | 1 0 2 |
| 30.95 | 593 | 1 0 1 |
| 48.31 | 582 | 1 1 2 |
| 25.88 | 346 | 0 0 2 |
| 57.94 | 292 | 2 0 0 |
| 68.64 | 290 | 1 1 4 |
| 71.74 | 247 | 2 1 2 |
| 61.21 | 195 | 1 0 4 |
| 65.57 | 159 | 2 1 0 |

Structural model:
a b c (Å): 3.183 3.183 6.886
angles (deg): 90.00 90.00 90.00
Space group P4_2/mmc (No. 131)
One atom of each set of equivalent atoms:
Si: 0.000 0.000 0.250 (multiplicity 2)
C: 0.000 0.500 0.099 (multiplicity 4)

2.
Starting from a PBE-relaxed structure, the powder X-ray diffraction pattern of Si3C4 was calculated for Cu Kα (weighted mean of Kα1 and Kα2).

Most intense lines, 2θ = 10–90°, in order of falling intensity:
| 2theta | intensity | hkl |
| --- | --- | --- |
| 35.20 | 1000 | 1 1 1 |
| 20.11 | 498 | 1 0 0 |
| 59.18 | 470 | 2 2 0 |
| 70.76 | 337 | 3 1 1 |
| 28.59 | 232 | 1 1 0 |
| 40.87 | 120 | 2 0 0 |
| 50.63 | 107 | 2 1 1 |
| 45.95 | 81 | 2 1 0 |
| 88.58 | 74 | 4 0 0 |
| 63.16 | 65 | 2 2 1 |

Structural model:
a b c (Å): 4.416 4.416 4.416
angles (deg): 90.00 90.00 90.00
Space group P-43m (No. 215)
One atom of each set of equivalent atoms:
Si: 0.000 0.000 0.500 (multiplicity 3)
C: 0.227 0.227 0.227 (multiplicity 4)

3.
Starting from a PBE-relaxed structure, the powder X-ray diffraction pattern of SiC2 was calculated for Cu Kα (weighted mean of Kα1 and Kα2).

Most intense lines, 2θ = 10–90°, in order of falling intensity:
| 2theta | intensity | hkl |
| --- | --- | --- |
| 20.31 | 1000 | 0 0 2 |
| 41.30 | 115 | 0 0 4 |
| 42.54 | 82 | 1 1 1 |
| 45.11 | 68 | 1 1 -1 |
| 42.24 | 67 | 0 1 0 |
| 46.62 | 48 | 0 1 2 |
| 47.96 | 44 | 0 1 -2 |
| 42.77 | 43 | 1 0 1 |
| 44.57 | 38 | 1 0 -1 |
| 42.37 | 38 | 1 0 0 |

Structural model:
a b c (Å): 2.472 2.472 8.811
angles (deg): 84.96 83.25 60.00
Space group P1 (No. 1)
One atom of each set of equivalent atoms:
Si: 0.000 0.000 0.000 (multiplicity 1)
C: 0.104 0.803 0.500 (multiplicity 1)
C: 0.437 0.137 0.500 (multiplicity 1)

4.
Starting from a PBE-relaxed structure, the powder X-ray diffraction pattern of SiC2 was calculated for Cu Kα (weighted mean of Kα1 and Kα2).

Most intense lines, 2θ = 10–90°, in order of falling intensity:
| 2theta | intensity | hkl |
| --- | --- | --- |
| 33.74 | 1000 | 1 1 1 |
| 44.76 | 246 | 0 2 2 |
| 49.04 | 237 | 1 1 3 |
| 24.22 | 213 | 0 0 2 |
| 64.68 | 124 | 1 3 1 |
| 65.54 | 119 | 2 2 0 |
| 58.13 | 106 | 2 0 2 |
| 63.51 | 104 | 0 2 4 |
| 72.33 | 95 | 1 1 5 |
| 86.38 | 76 | 3 1 1 |

Structural model:
a b c (Å): 3.519 4.853 7.350
angles (deg): 90.00 90.00 90.00
Space group F222 (No. 22)
One atom of each set of equivalent atoms:
Si: 0.000 0.000 0.000 (multiplicity 4)
C: 0.250 0.250 0.657 (multiplicity 8)

5.
Starting from a PBE-relaxed structure, the powder X-ray diffraction pattern of Si4C was calculated for Cu Kα (weighted mean of Kα1 and Kα2).

Most intense lines, 2θ = 10–90°, in order of falling intensity:
| 2theta | intensity | hkl |
| --- | --- | --- |
| 37.74 | 1000 | 1 0 1 |
| 46.75 | 602 | 1 0 3 |
| 37.91 | 365 | 0 0 4 |
| 53.64 | 309 | 0 1 4 |
| 65.68 | 291 | 1 1 0 |
| 78.42 | 271 | 1 1 4 |
| 36.49 | 249 | 1 0 0 |
| 61.69 | 188 | 0 1 5 |
| 80.93 | 136 | 0 1 7 |
| 78.31 | 115 | 0 2 1 |

Structural model:
a b c (Å): 2.8431 2.8431 9.4930
angles (deg): 90.00 90.00 120.00
Space group P-3m1 (No. 164)
One atom of each set of equivalent atoms:
Si: 0.3333 0.6667 0.1203 (multiplicity 2)
Si: 0.3333 0.6667 0.3762 (multiplicity 2)
C: 0.0000 0.0000 0.5000 (multiplicity 1)

6.
Starting from a PBE-relaxed structure, the powder X-ray diffraction pattern of SiC3 was calculated for Cu Kα (weighted mean of Kα1 and Kα2).

Most intense lines, 2θ = 10–90°, in order of falling intensity:
| 2theta | intensity | hkl |
| --- | --- | --- |
| 38.88 | 1000 | 1 0 1 |
| 65.40 | 284 | 1 1 2 |
| 80.01 | 194 | 2 1 1 |
| 31.92 | 147 | 1 0 0 |
| 66.73 | 142 | 2 0 0 |
| 51.16 | 130 | 1 1 1 |
| 77.52 | 99 | 1 0 3 |
| 21.61 | 87 | 0 0 1 |
| 55.42 | 83 | 1 0 2 |
| 45.77 | 59 | 1 1 0 |

Structural model:
a b c (Å): 2.803 2.803 4.112
angles (deg): 90.00 90.00 90.00
Space group P-4m2 (No. 115)
One atom of each set of equivalent atoms:
Si: 0.000 0.000 0.000 (multiplicity 1)
C: 0.000 0.500 0.288 (multiplicity 2)
C: 0.500 0.500 0.500 (multiplicity 1)